For Li3V5O10, a crystal structure in Alexandria, relaxed with GGA+U gives the computed powder diffraction line list in this record (Cu Kα (λ = 1.5418 Å)).
Intensities are scaled so that the largest is 100.

Peak list (10 most intense, 2θ = 10–90°, low angle first)
- 2θ 12.03, I 65, (0 0 1)
- 2θ 17.98, I 40, (0 1 0)
- 2θ 18.15, I 100, (1 0 0)
- 2θ 22.20, I 23, (1 1 1)
- 2θ 26.63, I 20, (1 0 2)
- 2θ 35.86, I 31, (0 2 1)
- 2θ 39.62, I 62, (1 1 -2)
- 2θ 43.56, I 50, (2 1 3)
- 2θ 44.56, I 45, (-1 2 1)
- 2θ 61.30, I 18, (1 0 5)

Structural model:
Unit cell a=5.1726 b=5.1930 c=7.8649 alpha=74.46 beta=73.44 gamma=76.65
Space group P-1 (No. 2)
Symmetry-distinct sites (fractional):
Li1 0.0000 0.0000 0.0000 x1
Li2 0.4758 0.6952 0.1097 x2
V1 0.0189 0.3801 0.1881 x2
V2 0.0371 0.1923 0.5986 x2
V3 0.5000 0.5000 0.5000 x1
O1 0.1914 0.0427 0.1699 x2
O2 0.2104 0.6058 0.9813 x2
O3 0.2144 0.8229 0.5592 x2
O4 0.2234 0.4567 0.3595 x2
O5 0.2588 0.3032 0.7273 x2

---

For LiV2O5, a crystal structure in Alexandria, relaxed with GGA+U gives the computed powder diffraction line list in this record (Cu Kα (λ = 1.5418 Å)).
Intensities are scaled so that the largest is 100.

Peak list (10 most intense, 2θ = 10–90°, low angle first)
- 2θ 15.28, I 18, (0 0 2)
- 2θ 18.00, I 100, (0 1 0)
- 2θ 19.58, I 22, (0 1 1)
- 2θ 26.14, I 56, (1 0 1)
- 2θ 29.37, I 29, (0 1 3)
- 2θ 30.84, I 31, (0 0 4)
- 2θ 30.95, I 34, (1 1 0)
- 2θ 34.21, I 22, (1 0 3)
- 2θ 44.26, I 16, (1 1 4)
- 2θ 51.23, I 19, (2 0 0)

Structural model:
Unit cell a=3.5664 b=4.9269 c=11.5964 alpha=90.00 beta=90.00 gamma=90.00
Space group Pmn2_1 (No. 31)
Symmetry-distinct sites (fractional):
Li1 0.0000 0.1799 0.0000 x2
V1 0.0000 0.3612 0.4114 x2
V2 0.0000 0.4302 0.7094 x2
O1 0.0000 0.0285 0.4407 x2
O2 0.0000 0.1013 0.7030 x2
O3 0.0000 0.4485 0.2410 x2
O4 0.0000 0.4939 0.8847 x2
O5 0.0000 0.5365 0.5625 x2

---

For Li11V16O32, a crystal structure in Alexandria, relaxed with GGA+U gives the computed powder diffraction line list in this record (Cu Kα (λ = 1.5418 Å)).
Intensities are scaled so that the largest is 100.

Peak list (10 most intense, 2θ = 10–90°, low angle first)
- 2θ 17.97, I 100, (1 -1 1)
- 2θ 18.19, I 42, (1 1 0)
- 2θ 18.29, I 37, (1 1 -2)
- 2θ 34.78, I 21, (-1 1 3)
- 2θ 35.09, I 27, (3 -1 0)
- 2θ 35.53, I 13, (3 1 -1)
- 2θ 42.32, I 40, (0 0 4)
- 2θ 42.47, I 40, (0 4 -2)
- 2θ 43.03, I 38, (4 0 -2)
- 2θ 61.30, I 23, (0 4 2)

Structural model:
Unit cell a=8.4111 b=8.5159 c=10.3640 alpha=113.41 beta=113.23 gamma=91.27
Space group P1 (No. 1)
Symmetry-distinct sites (fractional):
Li1 0.0000 0.0000 0.0000 x1
Li2 0.0350 0.8151 0.3390 x1
Li3 0.1107 0.6329 0.7402 x1
Li4 0.2684 0.7389 0.5066 x1
Li5 0.3414 0.5518 0.9059 x1
Li6 0.3759 0.3707 0.2479 x1
Li7 0.5556 0.3411 0.8995 x1
Li8 0.6340 0.1027 0.7372 x1
Li9 0.6872 0.6856 0.1234 x1
Li10 0.7426 0.2638 0.5086 x1
Li11 0.8223 0.0259 0.3474 x1
V1 0.0489 0.3015 0.8626 x1
V2 0.0669 0.3157 0.3780 x1
V3 0.1873 0.6846 0.1215 x1
V4 0.1934 0.1793 0.6221 x1
V5 0.3113 0.0570 0.8703 x1
V6 0.3259 0.0656 0.3820 x1
V7 0.4273 0.9412 0.1230 x1
V8 0.4445 0.4408 0.6290 x1
V9 0.5572 0.8040 0.3693 x1
V10 0.5664 0.8178 0.8776 x1
V11 0.6851 0.6874 0.6233 x1
V12 0.6892 0.1864 0.1252 x1
V13 0.8107 0.5566 0.3694 x1
V14 0.8164 0.5652 0.8763 x1
V15 0.9357 0.9285 0.6198 x1
V16 0.9497 0.4295 0.1238 x1
O1 0.0452 0.5509 0.3551 x1
O2 0.0600 0.0587 0.8498 x1
O3 0.0720 0.5489 0.8843 x1
O4 0.0846 0.0771 0.3988 x1
O5 0.1623 0.4323 0.1092 x1
O6 0.1818 0.9491 0.6277 x1
O7 0.2071 0.4205 0.6219 x1
O8 0.2133 0.9374 0.1354 x1
O9 0.2896 0.2931 0.8466 x1
O10 0.2991 0.8182 0.3576 x1
O11 0.3171 0.3090 0.3977 x1
O12 0.3318 0.8214 0.8914 x1
O13 0.4309 0.2020 0.6293 x1
O14 0.4334 0.1628 0.1048 x1
O15 0.4349 0.7062 0.1325 x1
O16 0.4544 0.6742 0.6372 x1
O17 0.5538 0.0429 0.3618 x1
O18 0.5590 0.0609 0.8851 x1
O19 0.5613 0.5680 0.8693 x1
O20 0.5795 0.5767 0.3850 x1
O21 0.6641 0.9444 0.1226 x1
O22 0.6741 0.4490 0.6387 x1
O23 0.6952 0.9181 0.6032 x1
O24 0.7132 0.4272 0.1254 x1
O25 0.7982 0.7925 0.8621 x1
O26 0.8142 0.8033 0.3772 x1
O27 0.8211 0.3140 0.3661 x1
O28 0.8217 0.3262 0.8839 x1
O29 0.9243 0.7033 0.6121 x1
O30 0.9397 0.6630 0.1114 x1
O31 0.9445 0.2093 0.1439 x1
O32 0.9473 0.1566 0.6141 x1

---

For Li2V4O9, a crystal structure in Alexandria, relaxed with GGA+U gives the computed powder diffraction line list in this record (Cu Kα (λ = 1.5418 Å)).
Intensities are scaled so that the largest is 100.

Peak list (10 most intense, 2θ = 10–90°, low angle first)
- 2θ 20.18, I 42, (0 1 0)
- 2θ 20.35, I 100, (1 0 0)
- 2θ 23.83, I 18, (0 1 2)
- 2θ 32.86, I 63, (1 1 4)
- 2θ 32.99, I 49, (0 1 -4)
- 2θ 35.37, I 20, (1 -1 0)
- 2θ 35.50, I 20, (1 2 0)
- 2θ 40.82, I 24, (1 2 -3)
- 2θ 53.35, I 26, (-1 1 6)
- 2θ 53.79, I 36, (2 1 -6)

Structural model:
Unit cell a=5.0265 b=5.0585 c=13.9094 alpha=89.51 beta=89.97 gamma=60.43
Space group P-1 (No. 2)
Symmetry-distinct sites (fractional):
Li1 0.0058 0.4868 0.1460 x2
Li2 0.0068 0.4993 0.3537 x2
V1 0.3299 0.8276 0.4796 x2
V2 0.3304 0.8444 0.9791 x2
V3 0.3392 0.8182 0.6855 x2
V4 0.3470 0.8182 0.1862 x2
O1 0.0057 0.8619 0.0811 x2
O2 0.0077 0.1312 0.5792 x2
O3 0.0203 0.8508 0.7505 x2
O4 0.3195 0.4974 0.2499 x2
O5 0.3477 0.1168 0.0797 x2
O6 0.3533 0.5296 0.5820 x2
O7 0.3666 0.1565 0.7486 x2
O8 0.4008 0.1373 0.4188 x2
O9 0.4043 0.4638 0.9181 x2

---

For Li5V7O12, a crystal structure in Alexandria, relaxed with GGA+U gives the computed powder diffraction line list in this record (Cu Kα (λ = 1.5418 Å)).
Intensities are scaled so that the largest is 100.

Peak list (10 most intense, 2θ = 10–90°, low angle first)
- 2θ 18.12, I 32, (0 0 2)
- 2θ 19.72, I 20, (0 2 0)
- 2θ 23.20, I 30, (1 1 1)
- 2θ 34.95, I 15, (2 0 0)
- 2θ 36.70, I 26, (1 3 1)
- 2θ 42.45, I 100, (1 3 -3)
- 2θ 42.68, I 50, (2 0 2)
- 2θ 61.49, I 28, (3 3 -1)
- 2θ 62.05, I 27, (1 3 5)
- 2θ 78.07, I 18, (0 0 8)

Structural model:
Unit cell a=5.2328 b=9.0020 c=9.9650 alpha=90.00 beta=100.78 gamma=90.00
Space group C2 (No. 5)
Symmetry-distinct sites (fractional):
Li1 0.0000 0.0000 0.0000 x2
Li2 0.2432 0.9996 0.7533 x4
Li3 0.2451 0.8306 0.2467 x4
V1 0.0000 0.1588 0.5000 x2
V2 0.0000 0.3376 0.0000 x2
V3 0.0000 0.4830 0.5000 x2
V4 0.0000 0.6691 0.0000 x2
V5 0.0000 0.8269 0.5000 x2
V6 0.2484 0.1604 0.2456 x4
O1 0.1103 0.6542 0.3748 x4
O2 0.1124 0.1768 0.8787 x4
O3 0.1190 0.5084 0.8813 x4
O4 0.1239 0.9995 0.3738 x4
O5 0.1256 0.3146 0.3732 x4
O6 0.1344 0.8228 0.8812 x4

---

For Li2V18O39, a crystal structure in Alexandria, relaxed with GGA+U gives the computed powder diffraction line list in this record (Cu Kα (λ = 1.5418 Å)).
Intensities are scaled so that the largest is 100.

Peak list (10 most intense, 2θ = 10–90°, low angle first)
- 2θ 14.89, I 34, (2 0 2)
- 2θ 17.15, I 29, (4 0 -2)
- 2θ 24.90, I 100, (1 1 1)
- 2θ 25.85, I 65, (6 0 -3)
- 2θ 29.63, I 30, (2 0 5)
- 2θ 32.88, I 39, (1 1 4)
- 2θ 43.78, I 27, (10 0 -5)
- 2θ 44.88, I 28, (4 0 7)
- 2θ 48.56, I 37, (0 2 0)
- 2θ 58.77, I 22, (5 1 8)

Structural model:
Unit cell a=22.2109 b=3.7497 c=17.5007 alpha=90.00 beta=104.79 gamma=90.00
Space group C2/m (No. 12)
Symmetry-distinct sites (fractional):
Li1 0.2417 0.0000 0.3406 x4
V1 0.0233 0.5000 0.6903 x4
V2 0.0513 0.0000 0.0983 x4
V3 0.0662 0.5000 0.5264 x4
V4 0.0895 0.0000 0.8241 x4
V5 0.1178 0.5000 0.2373 x4
V6 0.1392 0.0000 0.6544 x4
V7 0.1917 0.0000 0.0216 x4
V8 0.2023 0.5000 0.4476 x4
V9 0.2410 0.0000 0.8483 x4
O1 0.0000 0.0000 0.0000 x2
O2 0.0056 0.5000 0.4286 x4
O3 0.0265 0.0000 0.8600 x4
O4 0.0456 0.5000 0.2841 x4
O5 0.0516 0.0000 0.7015 x4
O6 0.0651 0.5000 0.1270 x4
O7 0.0795 0.0000 0.5449 x4
O8 0.0849 0.5000 0.7952 x4
O9 0.1091 0.0000 0.2150 x4
O10 0.1136 0.5000 0.6441 x4
O11 0.1261 0.0000 0.0532 x4
O12 0.1363 0.5000 0.4775 x4
O13 0.1540 0.0000 0.9071 x4
O14 0.1695 0.5000 0.3329 x4
O15 0.1730 0.0000 0.7696 x4
O16 0.2003 0.5000 0.1961 x4
O17 0.2090 0.0000 0.6326 x4
O18 0.2210 0.5000 0.0327 x4
O19 0.2306 0.0000 0.4507 x4
O20 0.2439 0.5000 0.8745 x4

---

For Li2V3O8, a crystal structure in Alexandria, relaxed with GGA+U gives the computed powder diffraction line list in this record (Cu Kα (λ = 1.5418 Å)).
Intensities are scaled so that the largest is 100.

Peak list (10 most intense, 2θ = 10–90°, low angle first)
- 2θ 15.97, I 100, (0 0 1)
- 2θ 22.35, I 68, (2 1 0)
- 2θ 25.67, I 10, (2 0 1)
- 2θ 27.59, I 38, (2 1 1)
- 2θ 28.38, I 11, (2 2 0)
- 2θ 31.82, I 17, (3 1 0)
- 2θ 32.27, I 6, (0 0 2)
- 2θ 35.80, I 17, (3 1 1)
- 2θ 45.62, I 8, (4 2 0)
- 2θ 48.64, I 11, (4 2 1)

Structural model:
Unit cell a=8.8936 b=8.8936 c=5.5487 alpha=90.00 beta=90.00 gamma=90.00
Space group P4bm (No. 100)
Symmetry-distinct sites (fractional):
Li1 0.2498 0.2502 0.0000 x4
V1 0.0000 0.0000 0.6590 x2
V2 0.1435 0.3565 0.5875 x4
O1 0.0000 0.0000 0.3665 x2
O2 0.0000 0.5000 0.5864 x2
O3 0.0848 0.2005 0.7573 x8
O4 0.1918 0.3082 0.3093 x4

---

For LiV6O15, a crystal structure in Alexandria, relaxed with GGA+U gives the computed powder diffraction line list in this record (Cu Kα (λ = 1.5418 Å)).
Intensities are scaled so that the largest is 100.

Peak list (10 most intense, 2θ = 10–90°, low angle first)
- 2θ 11.83, I 100, (2 0 0)
- 2θ 18.30, I 13, (0 0 2)
- 2θ 25.95, I 67, (1 1 -1)
- 2θ 27.36, I 15, (1 1 1)
- 2θ 28.34, I 36, (4 0 1)
- 2θ 29.81, I 31, (4 0 -3)
- 2θ 32.17, I 24, (3 1 -2)
- 2θ 40.29, I 19, (6 0 1)
- 2θ 49.73, I 23, (0 2 0)
- 2θ 60.66, I 13, (5 1 -6)

Structural model:
Unit cell a=15.8917 b=3.6670 c=10.3041 alpha=90.00 beta=109.76 gamma=90.00
Space group Cm (No. 8)
Symmetry-distinct sites (fractional):
Li1 0.0000 0.0000 0.0000 x2
V1 0.0577 0.5000 0.7903 x2
V2 0.0957 0.0000 0.5676 x2
V3 0.1623 0.0000 0.2764 x2
V4 0.2309 0.5000 0.0886 x2
V5 0.2722 0.5000 0.7788 x2
V6 0.3234 0.0000 0.5674 x2
O1 0.9999 0.0000 0.4489 x2
O2 0.0446 0.5000 0.9466 x2
O3 0.0543 0.0000 0.2016 x2
O4 0.0693 0.0000 0.7377 x2
O5 0.1218 0.5000 0.6191 x2
O6 0.1731 0.0000 0.4568 x2
O7 0.1910 0.5000 0.2543 x2
O8 0.1999 0.0000 0.1040 x2
O9 0.2016 0.5000 0.8967 x2
O10 0.2539 0.0000 0.7327 x2
O11 0.2995 0.5000 0.6058 x2
O12 0.3214 0.0000 0.4070 x2
O13 0.3375 0.5000 0.1436 x2
O14 0.3723 0.5000 0.8931 x2
O15 0.4347 0.0000 0.6689 x2